(1)
The following is a computed PXRD pattern of MgCo4Te8O20. It was derived from a PBE+U-relaxed structure, using λ = 1.5418 Å (Cu Kα).
Intensities are scaled so that the largest is 100.

```
data_MgCo4Te8O20
_symmetry_space_group_name_H-M 'P 1'
_symmetry_Int_Tables_number 1
_cell_length_a 6.278
_cell_length_b 7.347
_cell_length_c 11.248
_cell_angle_alpha 84.78
_cell_angle_beta 85.69
_cell_angle_gamma 89.90
loop_
_symmetry_equiv_pos_as_xyz
'x,y,z'
loop_
_atom_site_label
_atom_site_type_symbol
_atom_site_fract_x
_atom_site_fract_y
_atom_site_fract_z
Mg1 Mg 0.000 0.000 0.000
Co1 Co 0.167 0.049 0.705
Co2 Co 0.239 0.648 0.237
Co3 Co 0.644 0.055 0.831
Co4 Co 0.722 0.611 0.355
Te1 Te 0.030 0.627 0.901
Te2 Te 0.036 0.268 0.188
Te3 Te 0.456 0.711 0.631
Te4 Te 0.464 0.231 0.458
Te5 Te 0.504 0.988 0.134
Te6 Te 0.534 0.459 0.963
Te7 Te 0.927 0.442 0.642
Te8 Te 0.979 0.967 0.446
O1 O 0.022 0.763 0.358
O2 O 0.046 0.891 0.846
O3 O 0.146 0.867 0.580
O4 O 0.229 0.897 0.100
O5 O 0.237 0.108 0.372
O6 O 0.276 0.268 0.597
O7 O 0.334 0.582 0.854
O8 O 0.352 0.474 0.101
O9 O 0.430 0.460 0.370
O10 O 0.456 0.223 0.925
O11 O 0.486 0.930 0.713
O12 O 0.536 0.771 0.236
O13 O 0.644 0.782 0.495
O14 O 0.684 0.566 0.721
O15 O 0.687 0.914 0.998
O16 O 0.776 0.392 0.507
O17 O 0.816 0.114 0.272
O18 O 0.886 0.207 0.734
O19 O 0.923 0.259 0.033
O20 O 0.945 0.502 0.233
```

Most intense lines, 2θ = 5–70°, sorted by position:
| two_theta | Rel. int. | (hkl) |
| --- | --- | --- |
| 23.14 | 53 | 1 1 2 |
| 24.55 | 100 | 1 -1 2 |
| 25.84 | 38 | 0 1 3 |
| 26.02 | 57 | 1 1 -2 |
| 27.87 | 54 | 0 1 -3 |
| 28.52 | 72 | 2 0 0 |
| 29.01 | 31 | -1 2 1 |
| 29.64 | 45 | 1 -2 1 |
| 30.37 | 55 | 1 2 -1 |
| 32.05 | 24 | 0 0 4 |
| 32.30 | 34 | -2 1 1 |
| 52.92 | 27 | 1 2 -5 |

(2)
The following is a computed PXRD pattern of MgCo3TeO8. It was derived from a PBE+U-relaxed structure, using λ = 1.5418 Å (Cu Kα).
Intensities are scaled so that the largest is 100.

```
data_MgCo3TeO8
_symmetry_space_group_name_H-M 'P 1'
_symmetry_Int_Tables_number 1
_cell_length_a 5.947
_cell_length_b 6.002
_cell_length_c 6.126
_cell_angle_alpha 61.22
_cell_angle_beta 60.98
_cell_angle_gamma 60.34
loop_
_symmetry_equiv_pos_as_xyz
'x,y,z'
loop_
_atom_site_label
_atom_site_type_symbol
_atom_site_fract_x
_atom_site_fract_y
_atom_site_fract_z
Mg1 Mg 0.000 0.000 0.000
Co1 Co 0.367 0.361 0.421
Co2 Co 0.367 0.852 0.413
Co3 Co 0.854 0.360 0.424
Te1 Te 0.365 0.362 0.909
O1 O 0.128 0.139 0.606
O2 O 0.134 0.584 0.151
O3 O 0.135 0.130 0.149
O4 O 0.144 0.580 0.676
O5 O 0.586 0.132 0.149
O6 O 0.595 0.138 0.675
O7 O 0.598 0.582 0.676
O8 O 0.607 0.560 0.232
```

Most intense lines, 2θ = 5–70°, sorted by position:
| two_theta | Rel. int. | (hkl) |
| --- | --- | --- |
| 17.94 | 57 | 0 1 0 |
| 18.15 | 100 | 1 1 1 |
| 20.73 | 15 | 0 1 1 |
| 34.13 | 38 | 1 0 2 |
| 34.62 | 20 | 1 2 0 |
| 34.81 | 22 | -1 1 1 |
| 34.97 | 22 | 2 1 2 |
| 36.78 | 15 | 2 0 0 |
| 42.18 | 77 | 0 2 2 |
| 56.02 | 12 | 3 1 3 |
| 60.50 | 18 | 2 0 -2 |
| 61.82 | 18 | 2 4 2 |

Please write out number 2 again, unchanged.
The following is a computed PXRD pattern of MgCo3TeO8. It was derived from a PBE+U-relaxed structure, using λ = 1.5418 Å (Cu Kα).
Intensities are scaled so that the largest is 100.

```
data_MgCo3TeO8
_symmetry_space_group_name_H-M 'P 1'
_symmetry_Int_Tables_number 1
_cell_length_a 5.947
_cell_length_b 6.002
_cell_length_c 6.126
_cell_angle_alpha 61.22
_cell_angle_beta 60.98
_cell_angle_gamma 60.34
loop_
_symmetry_equiv_pos_as_xyz
'x,y,z'
loop_
_atom_site_label
_atom_site_type_symbol
_atom_site_fract_x
_atom_site_fract_y
_atom_site_fract_z
Mg1 Mg 0.000 0.000 0.000
Co1 Co 0.367 0.361 0.421
Co2 Co 0.367 0.852 0.413
Co3 Co 0.854 0.360 0.424
Te1 Te 0.365 0.362 0.909
O1 O 0.128 0.139 0.606
O2 O 0.134 0.584 0.151
O3 O 0.135 0.130 0.149
O4 O 0.144 0.580 0.676
O5 O 0.586 0.132 0.149
O6 O 0.595 0.138 0.675
O7 O 0.598 0.582 0.676
O8 O 0.607 0.560 0.232
```

Most intense lines, 2θ = 5–70°, sorted by position:
| two_theta | Rel. int. | (hkl) |
| --- | --- | --- |
| 17.94 | 57 | 0 1 0 |
| 18.15 | 100 | 1 1 1 |
| 20.73 | 15 | 0 1 1 |
| 34.13 | 38 | 1 0 2 |
| 34.62 | 20 | 1 2 0 |
| 34.81 | 22 | -1 1 1 |
| 34.97 | 22 | 2 1 2 |
| 36.78 | 15 | 2 0 0 |
| 42.18 | 77 | 0 2 2 |
| 56.02 | 12 | 3 1 3 |
| 60.50 | 18 | 2 0 -2 |
| 61.82 | 18 | 2 4 2 |